Structure and theoretical powder X-ray diffraction pattern of CsNa3N (a structure optimized by DFT (GGA-PBE); copper Kα).
Neutral-atom scattering factors, no anomalous dispersion.

Structural model:
Unit cell a=5.230 b=5.230 c=5.230 alpha=90.00 beta=90.00 gamma=90.00
Sites, in units of the cell vectors:
Cs  0.000  0.000  0.000
Na  0.000  0.500  0.500
Na  0.500  0.000  0.500
Na  0.500  0.500  0.000
N  0.500  0.500  0.500

Main lines, by angle (2θ from 10° to 90°):
- hkl 1 0 0, 16.95 deg, I 62.6
- hkl 1 1 0, 24.07 deg, I 100.0
- hkl 1 1 1, 29.59 deg, I 98.2
- hkl 2 0 0, 34.29 deg, I 65.1
- hkl 2 1 0, 38.49 deg, I 33.7
- hkl 2 1 1, 42.33 deg, I 42.1
- hkl 2 2 0, 49.28 deg, I 44.2
- hkl 3 1 1, 58.54 deg, I 41.4